[1]
Structure and calculated powder XRD pattern of ThRe2Si3 (a DFT-relaxed cell (PBE, Alexandria); Cu Kα).
Kinematic intensities with the Lorentz-polarization factor, no thermal factor.

Atomic structure:
```
data_ThRe2Si3
_chemical_formula_sum 'Th2 Re4 Si6'
_cell_length_a 6.0771
_cell_length_b 6.0771
_cell_length_c 5.7374
_cell_angle_alpha 90.00
_cell_angle_beta 90.00
_cell_angle_gamma 77.26
_symmetry_space_group_name_H-M 'P 1'
_symmetry_Int_Tables_number 1
loop_
_symmetry_equiv_pos_as_xyz
'x,y,z'
loop_
_atom_site_label
_atom_site_fract_x
_atom_site_fract_y
_atom_site_fract_z
_atom_site_occupancy
Th1 0.1632 0.8368 0.7500 1
Th2 0.8368 0.1632 0.2500 1
Re1 0.2946 0.2946 0.0000 1
Re2 0.2946 0.2946 0.5000 1
Re3 0.7054 0.7054 0.0000 1
Re4 0.7054 0.7054 0.5000 1
Si1 0.0398 0.6141 0.2500 1
Si2 0.3859 0.9602 0.2500 1
Si3 0.4380 0.5620 0.2500 1
Si4 0.5620 0.4380 0.7500 1
Si5 0.6141 0.0398 0.7500 1
Si6 0.9602 0.3859 0.7500 1
```

Peak list (10 most intense, 10 to 80 degrees two-theta, low angle first)
| Position (°2θ) | d [Å] | Rel. int. |
| --- | --- | --- |
| 21.56 | 4.123 | 610 |
| 30.15 | 2.964 | 781 |
| 30.61 | 2.921 | 692 |
| 34.05 | 2.633 | 467 |
| 34.45 | 2.603 | 463 |
| 36.60 | 2.455 | 1000 |
| 36.77 | 2.444 | 436 |
| 39.38 | 2.288 | 730 |
| 56.56 | 1.627 | 461 |
| 59.65 | 1.550 | 374 |



[2]
Structure and calculated powder XRD pattern of Hg4Pt (a DFT-relaxed cell (PBE, Alexandria); Cu Kα).
Kinematic intensities with the Lorentz-polarization factor, no thermal factor.

Atomic structure:
```
data_Hg4Pt
_chemical_formula_sum 'Hg4 Pt1'
_cell_length_a 5.3529
_cell_length_b 5.3529
_cell_length_c 5.3529
_cell_angle_alpha 90.00
_cell_angle_beta 90.00
_cell_angle_gamma 90.00
_symmetry_space_group_name_H-M 'P 1'
_symmetry_Int_Tables_number 1
loop_
_symmetry_equiv_pos_as_xyz
'x,y,z'
loop_
_atom_site_label
_atom_site_fract_x
_atom_site_fract_y
_atom_site_fract_z
_atom_site_occupancy
Hg1 0.0000 0.0000 0.0000 1
Hg2 0.0000 0.5000 0.5000 1
Hg3 0.5000 0.0000 0.5000 1
Hg4 0.5000 0.5000 0.0000 1
Pt1 0.5000 0.5000 0.5000 1
```

Peak list (10 most intense, 10 to 80 degrees two-theta, low angle first)
| Position (°2θ) | d [Å] | Rel. int. |
| --- | --- | --- |
| 16.56 | 5.353 | 204 |
| 23.50 | 3.785 | 181 |
| 28.89 | 3.090 | 733 |
| 33.48 | 2.676 | 1000 |
| 37.57 | 2.394 | 109 |
| 48.08 | 1.893 | 739 |
| 57.07 | 1.614 | 338 |
| 59.85 | 1.545 | 258 |
| 70.35 | 1.338 | 121 |
| 77.77 | 1.228 | 142 |